# Ba6Mg23
Calculated PXRD pattern, Cu Kα (weighted mean of Kα1 and Kα2). Input: a DFT-relaxed cell (GGA-PBE, the Materials Project).
No peak broadening, texture or thermal motion is included.

Cell and atoms:
a = 10.774 Å, b = 10.774 Å, c = 10.774 Å
α = 60.00°, β = 60.00°, γ = 60.00°
Atoms (fractional coordinates):
Ba  0.213  0.213  0.787
Ba  0.213  0.787  0.213
Ba  0.213  0.787  0.787
Ba  0.787  0.213  0.213
Ba  0.787  0.213  0.787
Ba  0.787  0.787  0.213
Mg  0.000  0.000  0.500
Mg  0.000  0.500  0.000
Mg  0.000  0.500  0.500
Mg  0.128  0.624  0.624
Mg  0.177  0.177  0.177
Mg  0.177  0.177  0.470
Mg  0.177  0.470  0.177
Mg  0.376  0.376  0.376
Mg  0.376  0.376  0.872
Mg  0.376  0.872  0.376
Mg  0.470  0.177  0.177
Mg  0.500  0.000  0.000
Mg  0.500  0.000  0.500
Mg  0.500  0.500  0.000
Mg  0.500  0.500  0.500
Mg  0.530  0.823  0.823
Mg  0.624  0.128  0.624
Mg  0.624  0.624  0.128
Mg  0.624  0.624  0.624
Mg  0.823  0.530  0.823
Mg  0.823  0.823  0.530
Mg  0.823  0.823  0.823
Mg  0.872  0.376  0.376

The 12 most intense peaks (15 to 90 degrees two-theta), sorted by position:
2θ = 20.2°, I 78; 2θ = 23.4°, I 46; 2θ = 25.5°, I 34; 2θ = 28.7°, I 40; 2θ = 30.5°, I 90; 2θ = 33.3°, I 100; 2θ = 35.3°, I 18; 2θ = 42.4°, I 31; 2θ = 45.7°, I 25; 2θ = 48.9°, I 31; 2θ = 50.9°, I 28; 2θ = 63.1°, I 32